Simulated PXRD pattern of Tb2Ga3Hg for Cu Kα, 1.54184 Å, from the GGA-PBE geometry in Alexandria.
Neutral-atom scattering factors, no anomalous dispersion.

The 10 most intense peaks (5° ≤ 2θ ≤ 70°), by angle:
2θ = 28.3°, rel. 34
2θ = 32.4°, rel. 100
2θ = 35.4°, rel. 49
2θ = 36.7°, rel. 14
2θ = 41.1°, rel. 25
2θ = 45.5°, rel. 19
2θ = 46.9°, rel. 18
2θ = 50.6°, rel. 16
2θ = 59.0°, rel. 22
2θ = 64.1°, rel. 14

a b c (Å): 3.9880 4.3938 15.4979
angles (deg): 90.00 90.00 90.00
Fractional positions:
Tb 0.0000 0.0000 0.0000
Tb 0.0000 0.5000 0.2799
Tb 0.5000 0.0000 0.7799
Tb 0.5000 0.5000 0.5000
Ga 0.0000 0.0000 0.4339
Ga 0.0000 0.5000 0.6884
Ga 0.0000 0.5000 0.8463
Ga 0.5000 0.0000 0.1884
Ga 0.5000 0.0000 0.3463
Ga 0.5000 0.5000 0.9339
Hg 0.0000 0.0000 0.6013
Hg 0.5000 0.5000 0.1013

---

Simulated PXRD pattern of Dy2HoP3Rh12 for Cu Kα, 1.54184 Å, from the GGA-PBE geometry in Alexandria.
Neutral-atom scattering factors, no anomalous dispersion.

The 10 most intense peaks (5° ≤ 2θ ≤ 70°), by angle:
2θ = 20.8°, rel. 17
2θ = 28.9°, rel. 18
2θ = 33.7°, rel. 17
2θ = 36.4°, rel. 33
2θ = 37.0°, rel. 22
2θ = 40.3°, rel. 100
2θ = 42.3°, rel. 17
2θ = 45.8°, rel. 15
2θ = 47.1°, rel. 19
2θ = 59.9°, rel. 14

a b c (Å): 6.7005 6.7005 6.7005
angles (deg): 83.73 83.73 83.73
Fractional positions:
Dy 0.1278 0.1278 0.1278
Dy 0.8722 0.8722 0.8722
Ho 0.5000 0.5000 0.5000
P 0.0000 0.5000 0.5000
P 0.5000 0.0000 0.5000
P 0.5000 0.5000 0.0000
Rh 0.1303 0.1303 0.5926
Rh 0.1303 0.5926 0.1303
Rh 0.1629 0.6795 0.6795
Rh 0.3205 0.3205 0.8371
Rh 0.3205 0.8371 0.3205
Rh 0.4074 0.8697 0.8697
Rh 0.5926 0.1303 0.1303
Rh 0.6795 0.1629 0.6795
Rh 0.6795 0.6795 0.1629
Rh 0.8371 0.3205 0.3205
Rh 0.8697 0.4074 0.8697
Rh 0.8697 0.8697 0.4074